Entry 1:
For Pt7Pb6, a PBE-relaxed structure gives the calculated XRD peak list in this record (CuKα).
Lines closer than 0.1° are merged.

```
data_Pt7Pb6
_symmetry_space_group_name_H-M 'P 1'
_symmetry_Int_Tables_number 1
_symmetry_space_group_name_Hall 'P 1'
_cell_length_a 8.663
_cell_length_b 11.515
_cell_length_c 5.637
_cell_angle_alpha 90.00
_cell_angle_beta 90.00
_cell_angle_gamma 90.00
loop_
_atom_site_label
_atom_site_type_symbol
_atom_site_fract_x
_atom_site_fract_y
_atom_site_fract_z
Pt1 Pt 0.000 0.000 0.000
Pt2 Pt 0.099 0.253 0.000
Pt3 Pt 0.152 0.835 0.252
Pt4 Pt 0.152 0.835 0.748
Pt5 Pt 0.348 0.335 0.252
Pt6 Pt 0.348 0.335 0.748
Pt7 Pt 0.401 0.753 0.000
Pt8 Pt 0.500 0.500 0.000
Pt9 Pt 0.599 0.247 0.000
Pt10 Pt 0.652 0.665 0.252
Pt11 Pt 0.652 0.665 0.748
Pt12 Pt 0.848 0.165 0.252
Pt13 Pt 0.848 0.165 0.748
Pt14 Pt 0.901 0.747 0.000
Pb1 Pb 0.053 0.359 0.500
Pb2 Pb 0.145 0.088 0.500
Pb3 Pb 0.166 0.576 0.000
Pb4 Pb 0.334 0.076 0.000
Pb5 Pb 0.355 0.588 0.500
Pb6 Pb 0.447 0.859 0.500
Pb7 Pb 0.553 0.141 0.500
Pb8 Pb 0.645 0.412 0.500
Pb9 Pb 0.666 0.924 0.000
Pb10 Pb 0.834 0.424 0.000
Pb11 Pb 0.855 0.912 0.500
Pb12 Pb 0.947 0.641 0.500
```

The 6 most intense peaks (2θ = 5–70°), low angle first:
two_theta	d_spacing	intensity	hkl
32.8	2.732	41	1 4 0
35.0	2.561	100	2 3 1
35.8	2.508	48	3 1 1
37.0	2.430	40	1 2 2
38.9	2.314	55	2 1 2
41.1	2.198	28	1 3 2

Entry 2:
For DyGaTe, a PBE-relaxed structure gives the calculated XRD peak list in this record (CuKα).
Lines closer than 0.1° are merged.

```
data_DyGaTe
_symmetry_space_group_name_H-M 'P 1'
_symmetry_Int_Tables_number 1
_symmetry_space_group_name_Hall 'P 1'
_cell_length_a 7.111
_cell_length_b 7.111
_cell_length_c 7.111
_cell_angle_alpha 90.00
_cell_angle_beta 90.00
_cell_angle_gamma 90.00
loop_
_atom_site_label
_atom_site_type_symbol
_atom_site_fract_x
_atom_site_fract_y
_atom_site_fract_z
Dy1 Dy 0.000 0.000 0.000
Dy2 Dy 0.000 0.500 0.500
Dy3 Dy 0.500 0.000 0.500
Dy4 Dy 0.500 0.500 0.000
Ga1 Ga 0.000 0.000 0.500
Ga2 Ga 0.000 0.500 0.000
Ga3 Ga 0.500 0.000 0.000
Ga4 Ga 0.500 0.500 0.500
Te1 Te 0.250 0.250 0.250
Te2 Te 0.250 0.750 0.750
Te3 Te 0.750 0.250 0.750
Te4 Te 0.750 0.750 0.250
```

The 6 most intense peaks (2θ = 5–70°), low angle first:
two_theta	d_spacing	intensity	hkl
21.6	4.105	43	1 1 1
25.0	3.555	12	2 0 0
35.7	2.514	100	2 2 0
42.1	2.144	23	3 1 1
51.4	1.778	18	4 0 0
64.2	1.451	36	4 2 2